1.
Computed X-ray diffraction stick pattern of LiBeAl2Cu4 for λ = 1.5418 Å (Cu Kα), from a crystal structure in OQMD, relaxed with GGA-PBE.
Neutral-atom scattering factors, no anomalous dispersion.

Peak list (10 most intense, 10 to 80 degrees two-theta, in order of rising 2θ)
| d/Å | I_rel |
| --- | --- |
| 3.324 | 6 |
| 2.928 | 29 |
| 2.855 | 51 |
| 2.044 | 100 |
| 2.019 | 47 |
| 1.662 | 18 |
| 1.464 | 8 |
| 1.427 | 14 |
| 1.303 | 8 |
| 1.283 | 6 |

Crystal structure
a b c (Å): 7.113 7.113 7.113
angles (deg): 132.68 132.68 69.16
Fractional coordinates of all 16 atoms:
Li  0.375  0.625  0.750
Li  0.625  0.375  0.250
Be  0.125  0.875  0.250
Be  0.875  0.125  0.750
Al  0.134  0.384  0.750
Al  0.384  0.134  0.250
Al  0.616  0.866  0.750
Al  0.866  0.616  0.250
Cu  0.000  0.230  0.230
Cu  0.000  0.770  0.770
Cu  0.230  0.000  0.730
Cu  0.230  0.500  0.230
Cu  0.500  0.230  0.730
Cu  0.500  0.770  0.270
Cu  0.770  0.000  0.270
Cu  0.770  0.500  0.770

***

2.
Computed X-ray diffraction stick pattern of PrGdSbCl2 for λ = 1.5418 Å (Cu Kα), from a crystal structure in OQMD, relaxed with GGA-PBE.
Neutral-atom scattering factors, no anomalous dispersion.

Peak list (10 most intense, 10 to 80 degrees two-theta, in order of rising 2θ)
| d/Å | I_rel |
| --- | --- |
| 3.497 | 37 |
| 3.044 | 100 |
| 2.569 | 29 |
| 2.169 | 38 |
| 2.136 | 36 |
| 2.095 | 16 |
| 1.749 | 19 |
| 1.370 | 15 |
| 1.353 | 16 |
| 1.240 | 12 |

Crystal structure
a b c (Å): 4.272 4.272 10.709
angles (deg): 90.00 90.00 120.00
Fractional coordinates of all 5 atoms:
Pr  0.000  0.000  0.000
Gd  0.667  0.333  0.661
Sb  0.333  0.667  0.824
Cl  0.000  0.000  0.521
Cl  0.667  0.333  0.150

***

3.
Computed X-ray diffraction stick pattern of DyCoCuSi2 for λ = 1.5418 Å (Cu Kα), from a crystal structure in OQMD, relaxed with GGA-PBE.
Neutral-atom scattering factors, no anomalous dispersion.

Peak list (10 most intense, 10 to 80 degrees two-theta, in order of rising 2θ)
| d/Å | I_rel |
| --- | --- |
| 3.661 | 41 |
| 2.504 | 44 |
| 2.423 | 100 |
| 1.976 | 33 |
| 1.743 | 15 |
| 1.551 | 20 |
| 1.533 | 13 |
| 1.401 | 14 |
| 1.307 | 12 |
| 1.211 | 23 |

Crystal structure
a b c (Å): 5.602 5.602 5.602
angles (deg): 138.68 138.68 59.86
Fractional coordinates of all 5 atoms:
Dy  0.000  0.000  0.000
Co  0.750  0.250  0.500
Cu  0.250  0.750  0.500
Si  0.376  0.376  0.000
Si  0.624  0.624  0.000

***

4.
Computed X-ray diffraction stick pattern of LiMgCu4Ge2 for λ = 1.5418 Å (Cu Kα), from a crystal structure in OQMD, relaxed with GGA-PBE.
Neutral-atom scattering factors, no anomalous dispersion.

Peak list (10 most intense, 10 to 80 degrees two-theta, in order of rising 2θ)
| d/Å | I_rel |
| --- | --- |
| 3.469 | 18 |
| 3.008 | 4 |
| 2.125 | 100 |
| 1.813 | 6 |
| 1.809 | 3 |
| 1.504 | 11 |
| 1.499 | 5 |
| 1.378 | 2 |
| 1.227 | 20 |
| 1.225 | 9 |

Crystal structure
a b c (Å): 4.254 4.254 5.994
angles (deg): 90.00 90.00 90.00
Fractional coordinates of all 8 atoms:
Li  0.000  0.000  0.000
Mg  0.500  0.500  0.500
Cu  0.000  0.500  0.235
Cu  0.000  0.500  0.765
Cu  0.500  0.000  0.235
Cu  0.500  0.000  0.765
Ge  0.000  0.000  0.500
Ge  0.500  0.500  0.000

***

5.
Computed X-ray diffraction stick pattern of Na2CuIrF7 for λ = 1.5418 Å (Cu Kα), from a crystal structure in OQMD, relaxed with GGA-PBE.
Neutral-atom scattering factors, no anomalous dispersion.

Peak list (10 most intense, 10 to 80 degrees two-theta, in order of rising 2θ)
| d/Å | I_rel |
| --- | --- |
| 5.085 | 14 |
| 5.036 | 60 |
| 3.577 | 64 |
| 2.916 | 100 |
| 2.518 | 14 |
| 2.062 | 12 |
| 1.789 | 40 |
| 1.530 | 14 |
| 1.521 | 14 |
| 1.518 | 16 |

Crystal structure
a b c (Å): 7.156 7.156 7.156
angles (deg): 120.18 89.44 120.47
Fractional coordinates of all 22 atoms:
Na  0.000  0.000  0.000
Na  0.500  0.000  0.000
Na  0.500  0.000  0.500
Na  0.500  0.500  0.500
Cu  0.000  0.000  0.500
Cu  0.000  0.500  0.000
Ir  0.000  0.500  0.500
Ir  0.500  0.500  0.000
F  0.079  0.242  0.399
F  0.079  0.680  0.837
F  0.098  0.848  0.250
F  0.343  0.242  0.663
F  0.343  0.680  0.101
F  0.345  0.740  0.604
F  0.364  0.260  0.104
F  0.636  0.740  0.896
F  0.655  0.260  0.396
F  0.657  0.320  0.899
F  0.657  0.758  0.337
F  0.902  0.152  0.750
F  0.921  0.320  0.163
F  0.921  0.758  0.601

***

6.
Computed X-ray diffraction stick pattern of Gd3AlGa2Ge2Pd for λ = 1.5418 Å (Cu Kα), from a crystal structure in OQMD, relaxed with GGA-PBE.
Neutral-atom scattering factors, no anomalous dispersion.

Peak list (10 most intense, 10 to 80 degrees two-theta, in order of rising 2θ)
| d/Å | I_rel |
| --- | --- |
| 3.038 | 33 |
| 2.733 | 90 |
| 2.704 | 72 |
| 2.508 | 82 |
| 2.478 | 100 |
| 2.314 | 27 |
| 2.141 | 54 |
| 2.025 | 27 |
| 1.576 | 29 |
| 1.562 | 26 |

Crystal structure
a b c (Å): 4.281 7.103 7.103
angles (deg): 121.18 90.00 90.00
Fractional coordinates of all 9 atoms:
Gd  0.000  0.000  0.000
Gd  0.000  0.178  0.594
Gd  0.000  0.594  0.178
Al  0.500  0.359  0.359
Ga  0.500  0.587  0.823
Ga  0.500  0.823  0.587
Ge  0.500  0.256  0.929
Ge  0.500  0.929  0.256
Pd  0.000  0.578  0.578

***

7.
Computed X-ray diffraction stick pattern of GdY2Ga for λ = 1.5418 Å (Cu Kα), from a crystal structure in OQMD, relaxed with GGA-PBE.
Neutral-atom scattering factors, no anomalous dispersion.

Peak list (10 most intense, 10 to 80 degrees two-theta, in order of rising 2θ)
| d/Å | I_rel |
| --- | --- |
| 2.747 | 100 |
| 2.737 | 13 |
| 2.720 | 18 |
| 2.659 | 22 |
| 2.447 | 24 |
| 2.389 | 9 |
| 1.800 | 14 |
| 1.701 | 9 |
| 1.463 | 24 |
| 1.397 | 9 |

Crystal structure
a b c (Å): 4.894 6.806 6.806
angles (deg): 102.76 90.00 90.00
Fractional coordinates of all 8 atoms:
Gd  0.250  0.113  0.887
Gd  0.750  0.887  0.113
Y  0.250  0.177  0.418
Y  0.250  0.707  0.482
Y  0.750  0.418  0.177
Y  0.750  0.482  0.707
Ga  0.250  0.620  0.973
Ga  0.750  0.973  0.620

***

8.
Computed X-ray diffraction stick pattern of Pr2Sc2CBr2Cl3 for λ = 1.5418 Å (Cu Kα), from a crystal structure in OQMD, relaxed with GGA-PBE.
Neutral-atom scattering factors, no anomalous dispersion.

Peak list (10 most intense, 10 to 80 degrees two-theta, in order of rising 2θ)
| d/Å | I_rel |
| --- | --- |
| 8.149 | 28 |
| 6.716 | 26 |
| 4.074 | 26 |
| 3.663 | 46 |
| 2.953 | 52 |
| 2.783 | 100 |
| 2.665 | 30 |
| 2.574 | 37 |
| 2.044 | 28 |
| 2.007 | 29 |

Crystal structure
a b c (Å): 9.240 9.240 8.323
angles (deg): 101.48 101.48 23.37
Fractional coordinates of all 10 atoms:
Pr  0.003  0.003  0.286
Pr  0.997  0.997  0.714
Sc  0.373  0.373  0.439
Sc  0.627  0.627  0.561
C  0.500  0.500  0.500
Br  0.167  0.167  0.804
Br  0.833  0.833  0.196
Cl  0.166  0.166  0.373
Cl  0.500  0.500  0.000
Cl  0.834  0.834  0.627

***

9.
Computed X-ray diffraction stick pattern of Na4AlCdPt2 for λ = 1.5418 Å (Cu Kα), from a crystal structure in OQMD, relaxed with GGA-PBE.
Neutral-atom scattering factors, no anomalous dispersion.

Peak list (10 most intense, 10 to 80 degrees two-theta, in order of rising 2θ)
| d/Å | I_rel |
| --- | --- |
| 3.878 | 100 |
| 3.325 | 17 |
| 2.992 | 13 |
| 2.770 | 12 |
| 2.387 | 86 |
| 2.351 | 46 |
| 2.056 | 12 |
| 2.011 | 35 |
| 1.663 | 16 |
| 1.364 | 28 |

Crystal structure
a b c (Å): 4.703 4.703 6.857
angles (deg): 90.00 90.00 90.00
Fractional coordinates of all 8 atoms:
Na  0.000  0.000  0.000
Na  0.000  0.500  0.747
Na  0.500  0.000  0.253
Na  0.500  0.500  0.500
Al  0.000  0.000  0.500
Cd  0.500  0.500  0.000
Pt  0.000  0.500  0.284
Pt  0.500  0.000  0.716

***

10.
Computed X-ray diffraction stick pattern of Cu7Ag2 for λ = 1.5418 Å (Cu Kα), from a crystal structure in OQMD, relaxed with GGA-PBE.
Neutral-atom scattering factors, no anomalous dispersion.

Peak list (10 most intense, 10 to 80 degrees two-theta, in order of rising 2θ)
| d/Å | I_rel |
| --- | --- |
| 2.415 | 9 |
| 2.169 | 100 |
| 2.168 | 49 |
| 2.147 | 48 |
| 1.912 | 70 |
| 1.803 | 22 |
| 1.358 | 11 |
| 1.346 | 10 |
| 1.316 | 15 |
| 1.307 | 14 |

Crystal structure
a b c (Å): 4.612 4.612 10.817
angles (deg): 112.47 112.47 34.25
Fractional coordinates of all 9 atoms:
Cu  0.000  0.000  0.000
Cu  0.006  0.006  0.353
Cu  0.328  0.328  0.443
Cu  0.340  0.340  0.764
Cu  0.660  0.660  0.236
Cu  0.672  0.672  0.557
Cu  0.994  0.994  0.647
Ag  0.334  0.334  0.125
Ag  0.666  0.666  0.875

***

11.
Computed X-ray diffraction stick pattern of ErTm2In3Ir2 for λ = 1.5418 Å (Cu Kα), from a crystal structure in OQMD, relaxed with GGA-PBE.
Neutral-atom scattering factors, no anomalous dispersion.

Peak list (10 most intense, 10 to 80 degrees two-theta, in order of rising 2θ)
| d/Å | I_rel |
| --- | --- |
| 6.558 | 29 |
| 2.615 | 100 |
| 2.479 | 67 |
| 2.429 | 71 |
| 2.186 | 19 |
| 1.808 | 17 |
| 1.625 | 21 |
| 1.461 | 26 |
| 1.389 | 18 |
| 1.331 | 22 |

Crystal structure
a b c (Å): 3.616 7.573 7.573
angles (deg): 120.01 90.00 90.00
Fractional coordinates of all 8 atoms:
Er  0.000  0.000  0.000
Tm  0.000  0.422  0.844
Tm  0.000  0.844  0.422
In  0.500  0.187  0.422
In  0.500  0.422  0.187
In  0.500  0.657  0.657
Ir  0.500  0.089  0.755
Ir  0.500  0.755  0.089

***

12.
Computed X-ray diffraction stick pattern of ZnSi for λ = 1.5418 Å (Cu Kα), from a crystal structure in OQMD, relaxed with GGA-PBE.
Neutral-atom scattering factors, no anomalous dispersion.

Peak list (10 most intense, 10 to 80 degrees two-theta, in order of rising 2θ)
| d/Å | I_rel |
| --- | --- |
| 4.744 | 8 |
| 4.709 | 17 |
| 3.342 | 6 |
| 2.372 | 31 |
| 2.355 | 35 |
| 2.118 | 5 |
| 2.109 | 100 |
| 1.671 | 17 |
| 1.359 | 15 |
| 1.313 | 20 |

Crystal structure
a b c (Å): 5.437 5.437 4.744
angles (deg): 90.00 90.00 120.00
Fractional coordinates of all 8 atoms:
Zn  0.000  0.000  0.000
Zn  0.166  0.333  0.500
Zn  0.166  0.834  0.500
Zn  0.667  0.834  0.500
Si  0.503  0.005  0.000
Si  0.503  0.497  0.000
Si  0.667  0.333  0.500
Si  0.995  0.497  0.000

***

13.
Computed X-ray diffraction stick pattern of Co5Si2B for λ = 1.5418 Å (Cu Kα), from a crystal structure in OQMD, relaxed with GGA-PBE.
Neutral-atom scattering factors, no anomalous dispersion.

Peak list (10 most intense, 10 to 80 degrees two-theta, in order of rising 2θ)
| d/Å | I_rel |
| --- | --- |
| 2.716 | 40 |
| 2.184 | 26 |
| 2.091 | 55 |
| 2.055 | 17 |
| 2.024 | 16 |
| 1.947 | 20 |
| 1.920 | 24 |
| 1.880 | 100 |
| 1.773 | 30 |
| 1.215 | 17 |

Crystal structure
a b c (Å): 6.454 6.454 6.454
angles (deg): 96.58 96.58 140.43
Fractional coordinates of all 16 atoms:
Co  0.073  0.797  0.871
Co  0.203  0.073  0.276
Co  0.250  0.750  0.500
Co  0.297  0.573  0.871
Co  0.427  0.297  0.724
Co  0.573  0.703  0.276
Co  0.703  0.427  0.129
Co  0.750  0.250  0.500
Co  0.797  0.927  0.724
Co  0.927  0.203  0.129
Si  0.167  0.333  0.500
Si  0.333  0.833  0.166
Si  0.667  0.167  0.834
Si  0.833  0.667  0.500
B  0.250  0.250  0.000
B  0.750  0.750  0.000

***

14.
Computed X-ray diffraction stick pattern of KAl4Re3 for λ = 1.5418 Å (Cu Kα), from a crystal structure in OQMD, relaxed with GGA-PBE.
Neutral-atom scattering factors, no anomalous dispersion.

Peak list (10 most intense, 10 to 80 degrees two-theta, in order of rising 2θ)
| d/Å | I_rel |
| --- | --- |
| 4.801 | 89 |
| 4.647 | 54 |
| 3.767 | 100 |
| 3.030 | 65 |
| 2.721 | 58 |
| 2.348 | 42 |
| 2.324 | 84 |
| 1.935 | 49 |
| 1.910 | 37 |
| 1.767 | 51 |

Crystal structure
a b c (Å): 6.343 6.343 6.343
angles (deg): 129.20 72.94 131.40
Fractional coordinates of all 8 atoms:
K  0.000  0.000  0.000
Al  0.059  0.779  0.279
Al  0.500  0.239  0.739
Al  0.500  0.761  0.261
Al  0.500  0.779  0.721
Re  0.002  0.501  0.500
Re  0.575  0.281  0.294
Re  0.986  0.281  0.706